Theoretical X-ray powder pattern of Li4MnFe3P4O16 for Cu Kα X-rays, from DFT lattice parameters and positions (PBE+U).
Neutral-atom scattering factors, no anomalous dispersion.

Cell and atoms:
```
data_Li4MnFe3P4O16
_chemical_formula_sum 'Li4 Mn1 Fe3 P4 O16'
_cell_length_a 4.761
_cell_length_b 6.081
_cell_length_c 10.437
_cell_angle_alpha 90.00
_cell_angle_beta 90.01
_cell_angle_gamma 90.00
_space_group_name_H-M_alt 'P 1 m 1'
_space_group_IT_number 6
loop_
_space_group_symop_operation_xyz
'x,y,z'
'x,-y,z'
loop_
_atom_site_label
_atom_site_type_symbol
_atom_site_fract_x
_atom_site_fract_y
_atom_site_fract_z
_atom_site_occupancy
Li1 Li 0.000 0.248 0.000 1
Li2 Li 0.503 0.251 0.499 1
Mn1 Mn 0.023 0.500 0.277 1
Fe1 Fe 0.475 0.500 0.782 1
Fe2 Fe 0.515 0.000 0.221 1
Fe3 Fe 0.976 0.000 0.720 1
P1 P 0.091 0.000 0.403 1
P2 P 0.421 0.000 0.907 1
P3 P 0.586 0.500 0.090 1
P4 P 0.918 0.500 0.595 1
O1 O 0.207 0.000 0.542 1
O2 O 0.231 0.202 0.334 1
O3 O 0.241 0.500 0.598 1
O4 O 0.263 0.500 0.092 1
O5 O 0.287 0.203 0.836 1
O6 O 0.297 0.000 0.045 1
O7 O 0.711 0.500 0.952 1
O8 O 0.718 0.295 0.160 1
O9 O 0.743 0.000 0.904 1
O10 O 0.768 0.000 0.396 1
O11 O 0.784 0.297 0.665 1
O12 O 0.795 0.500 0.457 1
```

Largest 8 diffraction maxima, by angle, 2θ = 15–90°:
2θ (°)	I/Imax	h k l
16.99	307	0 0 2
20.50	559	1 0 1
25.25	884	1 1 1
29.37	725	0 2 0
31.86	249	1 0 3
35.19	1000	1 1 -3
36.09	285	1 2 1
51.83	355	2 2 -2